[1]
# NiSb3
Simulated powder XRD pattern, Cu Kα. Input: the PBE geometry in OQMD.
No peak broadening, texture or thermal motion is included.

Crystal structure
abc: 8.0008 8.0008 8.0008
angles: 109.47 109.47 109.47
Fractional coordinates of all 16 atoms:
Ni 0.0000 0.0000 0.5000
Ni 0.0000 0.5000 0.0000
Ni 0.5000 0.0000 0.0000
Ni 0.5000 0.5000 0.5000
Sb 0.1594 0.3375 0.4969
Sb 0.1594 0.6626 0.8220
Sb 0.1780 0.8406 0.3375
Sb 0.3375 0.1780 0.8406
Sb 0.3375 0.4969 0.1594
Sb 0.4969 0.1594 0.3375
Sb 0.5031 0.8406 0.6626
Sb 0.6626 0.5031 0.8406
Sb 0.6626 0.8220 0.1594
Sb 0.8220 0.1594 0.6626
Sb 0.8406 0.3375 0.1780
Sb 0.8406 0.6626 0.5031

Largest 10 diffraction maxima, in order of rising 2θ, 10 to 90 degrees two-theta:
Position (°2θ)	d/Å	I/Imax
13.6	6.533	10
30.6	2.921	100
36.4	2.469	36
41.5	2.178	9
43.8	2.066	25
46.1	1.970	11
48.3	1.886	17
50.4	1.812	23
58.2	1.584	19
68.9	1.362	18

***

[2]
# Ni8Sb
Simulated powder XRD pattern, Cu Kα. Input: the PBE geometry in OQMD.
No peak broadening, texture or thermal motion is included.

Crystal structure
abc: 4.2764 4.2764 28.4068
angles: 90.06 90.06 48.76
Fractional coordinates of all 18 atoms:
Ni 0.0499 0.0499 0.0414
Ni 0.1512 0.1512 0.1237
Ni 0.1509 0.1509 0.8496
Ni 0.2494 0.2494 0.2071
Ni 0.2507 0.2507 0.9315
Ni 0.3500 0.3500 0.0140
Ni 0.4470 0.4470 0.8215
Ni 0.4497 0.4497 0.0964
Ni 0.5503 0.5503 0.9036
Ni 0.5530 0.5530 0.1785
Ni 0.6500 0.6500 0.9860
Ni 0.7493 0.7493 0.0685
Ni 0.7506 0.7506 0.7929
Ni 0.8491 0.8491 0.1504
Ni 0.8488 0.8488 0.8763
Ni 0.9501 0.9501 0.9586
Sb 0.0515 0.0515 0.7590
Sb 0.9485 0.9485 0.2410

Largest 10 diffraction maxima, in order of rising 2θ, 10 to 90 degrees two-theta:
Position (°2θ)	d/Å	I/Imax
42.5	2.129	72
44.3	2.043	83
45.0	2.013	100
45.2	2.007	90
47.7	1.906	26
50.7	1.800	41
51.8	1.765	35
51.9	1.762	24
52.1	1.755	33
75.4	1.260	23

***

[3]
# Ni3Sb
Simulated powder XRD pattern, Cu Kα. Input: the PBE geometry in OQMD.
No peak broadening, texture or thermal motion is included.

Crystal structure
abc: 5.2873 5.2873 4.2663
angles: 90.00 90.00 120.00
Fractional coordinates of all 8 atoms:
Ni 0.1625 0.3249 0.2500
Ni 0.1625 0.8375 0.2500
Ni 0.3249 0.1625 0.7500
Ni 0.6751 0.8375 0.2500
Ni 0.8375 0.1625 0.7500
Ni 0.8375 0.6751 0.7500
Sb 0.3333 0.6667 0.7500
Sb 0.6667 0.3333 0.2500

Largest 10 diffraction maxima, in order of rising 2θ, 10 to 90 degrees two-theta:
Position (°2θ)	d/Å	I/Imax
28.6	3.121	12
33.9	2.644	5
39.4	2.289	25
42.4	2.133	27
44.9	2.017	100
59.2	1.561	14
71.4	1.322	15
79.3	1.208	17
86.6	1.124	18
88.4	1.106	13

***

[4]
# Ni9Sb
Simulated powder XRD pattern, Cu Kα. Input: the PBE geometry in OQMD.
No peak broadening, texture or thermal motion is included.

Crystal structure
abc: 2.6327 3.4054 36.7821
angles: 90.00 90.00 90.00
Fractional coordinates of all 20 atoms:
Ni 0.2500 0.2500 0.0167
Ni 0.2500 0.2500 0.0835
Ni 0.2500 0.2500 0.1501
Ni 0.2500 0.2500 0.2171
Ni 0.2500 0.2500 0.2855
Ni 0.2500 0.2500 0.7495
Ni 0.2500 0.2500 0.8163
Ni 0.2500 0.2500 0.8832
Ni 0.2500 0.2500 0.9500
Ni 0.7500 0.7500 0.0500
Ni 0.7500 0.7500 0.1168
Ni 0.7500 0.7500 0.1837
Ni 0.7500 0.7500 0.2505
Ni 0.7500 0.7500 0.7145
Ni 0.7500 0.7500 0.7829
Ni 0.7500 0.7500 0.8499
Ni 0.7500 0.7500 0.9165
Ni 0.7500 0.7500 0.9833
Sb 0.2500 0.2500 0.6727
Sb 0.7500 0.7500 0.3273

Largest 10 diffraction maxima, in order of rising 2θ, 10 to 90 degrees two-theta:
Position (°2θ)	d/Å	I/Imax
12.0	7.356	11
43.5	2.082	100
43.7	2.069	10
45.6	1.990	48
49.0	1.860	13
50.9	1.794	34
53.9	1.702	21
71.7	1.316	8
77.2	1.235	19
89.2	1.098	13

***

[5]
# YScNi2Sb2
Simulated powder XRD pattern, Cu Kα. Input: the PBE geometry in OQMD.
No peak broadening, texture or thermal motion is included.

Crystal structure
abc: 8.8327 4.4081 13.2301
angles: 90.00 109.39 90.00
Fractional coordinates of all 24 atoms:
Y 0.0000 0.0000 0.0000
Y 0.1248 0.5000 0.7491
Y 0.2502 0.0000 0.4996
Y 0.5015 0.0000 0.0017
Sc 0.3769 0.5000 0.2516
Sc 0.6249 0.5000 0.7486
Sc 0.7483 0.0000 0.4985
Sc 0.8746 0.5000 0.2502
Ni 0.0662 0.5000 0.1327
Ni 0.1879 0.0000 0.8752
Ni 0.3232 0.5000 0.6276
Ni 0.4425 0.0000 0.3725
Ni 0.5675 0.5000 0.1332
Ni 0.6857 0.0000 0.8692
Ni 0.8047 0.5000 0.6207
Ni 0.9303 0.0000 0.3722
Sb 0.1259 0.0000 0.2514
Sb 0.2528 0.5000 0.0051
Sb 0.3815 0.0000 0.7500
Sb 0.5050 0.5000 0.4979
Sb 0.6271 0.0000 0.2532
Sb 0.7507 0.5000 0.0002
Sb 0.8664 0.0000 0.7448
Sb 0.9909 0.5000 0.4960

Largest 10 diffraction maxima, in order of rising 2θ, 10 to 90 degrees two-theta:
Position (°2θ)	d/Å	I/Imax
24.7	3.603	28
28.6	3.120	32
40.9	2.206	100
48.4	1.881	13
50.7	1.800	6
59.2	1.560	16
67.1	1.395	9
74.4	1.275	8
74.5	1.273	24
88.8	1.102	5

***

[6]
# Si2Ni3Sb2
Simulated powder XRD pattern, Cu Kα. Input: the PBE geometry in OQMD.
No peak broadening, texture or thermal motion is included.

Crystal structure
abc: 8.3164 8.3164 8.3164
angles: 27.84 27.84 27.84
Fractional coordinates of all 7 atoms:
Si 0.0000 0.0000 0.0000
Si 0.4999 0.4999 0.4999
Ni 0.1331 0.1331 0.1331
Ni 0.6430 0.6430 0.6430
Ni 0.8525 0.8525 0.8525
Sb 0.2535 0.2535 0.2535
Sb 0.7453 0.7453 0.7453

Largest 10 diffraction maxima, in order of rising 2θ, 10 to 90 degrees two-theta:
Position (°2θ)	d/Å	I/Imax
26.8	3.329	88
29.8	3.000	18
39.8	2.266	100
45.3	2.001	100
46.0	1.971	43
61.9	1.500	26
66.6	1.404	13
79.9	1.200	24
83.7	1.155	15
84.2	1.149	14

***

[7]
# SmNi2SnSb
Simulated powder XRD pattern, Cu Kα. Input: the PBE geometry in OQMD.
No peak broadening, texture or thermal motion is included.

Crystal structure
abc: 4.3618 4.3618 10.2457
angles: 90.00 90.00 90.00
Fractional coordinates of all 10 atoms:
Sm 0.2500 0.2500 0.2391
Sm 0.7500 0.7500 0.7609
Ni 0.2500 0.2500 0.6310
Ni 0.2500 0.7500 0.0000
Ni 0.7500 0.2500 0.0000
Ni 0.7500 0.7500 0.3690
Sn 0.2500 0.7500 0.5000
Sn 0.7500 0.2500 0.5000
Sb 0.2500 0.2500 0.8715
Sb 0.7500 0.7500 0.1285

Largest 10 diffraction maxima, in order of rising 2θ, 10 to 90 degrees two-theta:
Position (°2θ)	d/Å	I/Imax
28.9	3.084	14
33.3	2.689	63
33.9	2.642	100
41.4	2.181	66
46.1	1.970	18
49.1	1.855	24
54.1	1.694	31
60.0	1.542	22
66.1	1.413	20
70.7	1.332	24

***

[8]
# TaNi6Sb
Simulated powder XRD pattern, Cu Kα. Input: the PBE geometry in OQMD.
No peak broadening, texture or thermal motion is included.

Crystal structure
abc: 4.2516 5.1851 4.5319
angles: 90.00 90.00 90.00
Fractional coordinates of all 8 atoms:
Ta 0.0000 0.0000 0.0000
Ni 0.0000 0.2497 0.4922
Ni 0.0000 0.5000 0.0119
Ni 0.0000 0.7503 0.4922
Ni 0.5000 0.0000 0.6539
Ni 0.5000 0.2481 0.1683
Ni 0.5000 0.7519 0.1683
Sb 0.5000 0.5000 0.6719

Largest 10 diffraction maxima, in order of rising 2θ, 10 to 90 degrees two-theta:
Position (°2θ)	d/Å	I/Imax
26.1	3.412	13
27.1	3.288	16
40.1	2.250	25
42.5	2.126	41
45.4	2.000	51
45.6	1.989	100
59.9	1.545	15
72.4	1.305	16
80.0	1.199	18
87.8	1.112	19

***

[9]
# TbNiSb2
Simulated powder XRD pattern, Cu Kα. Input: the PBE geometry in OQMD.
No peak broadening, texture or thermal motion is included.

Crystal structure
abc: 4.3582 4.3582 9.4079
angles: 90.00 90.00 90.00
Fractional coordinates of all 8 atoms:
Tb 0.2500 0.2500 0.2383
Tb 0.7500 0.7500 0.7617
Ni 0.2500 0.7500 0.0000
Ni 0.7500 0.2500 0.0000
Sb 0.2500 0.2500 0.8578
Sb 0.2500 0.7500 0.5000
Sb 0.7500 0.2500 0.5000
Sb 0.7500 0.7500 0.1422

Largest 10 diffraction maxima, in order of rising 2θ, 10 to 90 degrees two-theta:
Position (°2θ)	d/Å	I/Imax
28.5	3.136	12
30.5	2.929	21
34.8	2.578	100
35.3	2.545	31
41.4	2.179	49
53.0	1.727	15
55.5	1.655	17
60.0	1.541	16
69.4	1.354	14
71.3	1.323	24

***

[10]
# TlNiSb
Simulated powder XRD pattern, Cu Kα. Input: the PBE geometry in OQMD.
No peak broadening, texture or thermal motion is included.

Crystal structure
abc: 6.4029 6.4029 6.4029
angles: 90.00 90.00 90.00
Fractional coordinates of all 12 atoms:
Tl 0.0000 0.0000 0.0000
Tl 0.0000 0.5000 0.5000
Tl 0.5000 0.0000 0.5000
Tl 0.5000 0.5000 0.0000
Ni 0.2500 0.2500 0.7500
Ni 0.2500 0.7500 0.2500
Ni 0.7500 0.2500 0.2500
Ni 0.7500 0.7500 0.7500
Sb 0.0000 0.0000 0.5000
Sb 0.0000 0.5000 0.0000
Sb 0.5000 0.0000 0.0000
Sb 0.5000 0.5000 0.5000

Largest 10 diffraction maxima, in order of rising 2θ, 10 to 90 degrees two-theta:
Position (°2θ)	d/Å	I/Imax
24.1	3.697	17
27.9	3.201	56
39.8	2.264	100
47.1	1.931	9
49.3	1.848	16
57.6	1.601	17
63.3	1.469	4
65.2	1.432	21
72.3	1.307	34
85.9	1.132	11

***

[11]
# U3Ni3Sb4
Simulated powder XRD pattern, Cu Kα. Input: the PBE geometry in OQMD.
No peak broadening, texture or thermal motion is included.

Crystal structure
abc: 8.1164 8.1164 8.1164
angles: 109.47 109.47 109.47
Fractional coordinates of all 20 atoms:
U 0.1250 0.7500 0.8750
U 0.2500 0.6250 0.3750
U 0.3750 0.2500 0.6250
U 0.6250 0.3750 0.2500
U 0.7500 0.8750 0.1250
U 0.8750 0.1250 0.7500
Ni 0.1250 0.8750 0.2500
Ni 0.2500 0.1250 0.8750
Ni 0.3750 0.6250 0.7500
Ni 0.6250 0.7500 0.3750
Ni 0.7500 0.3750 0.6250
Ni 0.8750 0.2500 0.1250
Sb 0.0000 0.3331 0.5000
Sb 0.0000 0.8331 0.5000
Sb 0.1669 0.1669 0.1669
Sb 0.3331 0.5000 0.0000
Sb 0.5000 0.0000 0.3331
Sb 0.5000 0.0000 0.8331
Sb 0.6669 0.6669 0.6669
Sb 0.8331 0.5000 0.0000

Largest 10 diffraction maxima, in order of rising 2θ, 10 to 90 degrees two-theta:
Position (°2θ)	d/Å	I/Imax
23.2	3.826	16
30.2	2.964	64
35.9	2.505	100
43.2	2.096	43
45.4	1.998	15
47.5	1.913	15
60.9	1.520	25
62.7	1.482	12
64.4	1.446	12
74.4	1.275	18

***

[12]
# Zr5NiSb9
Simulated powder XRD pattern, Cu Kα. Input: the PBE geometry in OQMD.
No peak broadening, texture or thermal motion is included.

Crystal structure
abc: 8.8981 8.8981 8.8188
angles: 90.00 90.00 90.00
Fractional coordinates of all 30 atoms:
Zr 0.0466 0.6466 0.2348
Zr 0.1466 0.9534 0.7652
Zr 0.2500 0.2500 0.2452
Zr 0.3534 0.5466 0.7652
Zr 0.4534 0.8534 0.2348
Zr 0.5466 0.1466 0.7652
Zr 0.6466 0.4534 0.2348
Zr 0.7500 0.7500 0.7548
Zr 0.8534 0.0466 0.2348
Zr 0.9534 0.3534 0.7652
Ni 0.2500 0.7500 0.5000
Ni 0.7500 0.2500 0.5000
Sb 0.0236 0.1654 0.4993
Sb 0.0518 0.6519 0.8836
Sb 0.1519 0.9482 0.1164
Sb 0.1654 0.4764 0.4993
Sb 0.2500 0.2500 0.8923
Sb 0.3346 0.0236 0.4993
Sb 0.3481 0.5518 0.1164
Sb 0.4482 0.8481 0.8836
Sb 0.4764 0.3346 0.4993
Sb 0.5236 0.6654 0.5007
Sb 0.5518 0.1519 0.1164
Sb 0.6519 0.4482 0.8836
Sb 0.6654 0.9764 0.5007
Sb 0.7500 0.7500 0.1077
Sb 0.8346 0.5236 0.5007
Sb 0.8481 0.0518 0.8836
Sb 0.9482 0.3481 0.1164
Sb 0.9764 0.8346 0.5007

Largest 10 diffraction maxima, in order of rising 2θ, 10 to 90 degrees two-theta:
Position (°2θ)	d/Å	I/Imax
30.2	2.955	37
30.4	2.940	31
31.8	2.814	20
33.4	2.681	100
37.9	2.372	57
38.1	2.364	61
45.6	1.990	48
55.8	1.649	30
60.8	1.522	30
66.5	1.407	15